Record 1
The following is a computed XRD peak list of La3TmS4. It was derived from a cell relaxed with GGA-PBE, using a wavelength of 1.5418 Å.

Structure:
a b c (Å): 7.1163 8.1190 7.0538
angles (deg): 90.00 109.40 90.00
Space group P2/c (No. 13)
Symmetry-distinct sites (fractional):
La  0.0000  0.1234  0.2500 [2 per cell]
La  0.0000  0.3741  0.7500 [2 per cell]
La  0.5000  0.1249  0.7500 [2 per cell]
Tm  0.5000  0.3744  0.2500 [2 per cell]
S  0.2604  0.1353  0.0106 [4 per cell]
S  0.2685  0.3847  0.4996 [4 per cell]

Most intense lines, 10 to 80 degrees two-theta, in order of falling intensity:
Position (°2θ), I/Imax
31.0, 100.0
26.8, 55.7
44.2, 36.4
44.5, 24.0
26.6, 19.1
55.3, 18.6

***

Record 2
The following is a computed XRD peak list of Nd3Cu2. It was derived from a cell relaxed with GGA-PBE, using a wavelength of 1.5418 Å.

Structure:
a b c (Å): 4.4588 15.4287 3.8288
angles (deg): 90.00 90.00 90.00
Space group Cmmm (No. 65)
Symmetry-distinct sites (fractional):
Nd  0.0000  0.0000  0.0000 [2 per cell]
Nd  0.0000  0.3535  0.5000 [4 per cell]
Cu  0.0000  0.2047  0.0000 [4 per cell]

Most intense lines, 10 to 80 degrees two-theta, in order of falling intensity:
Position (°2θ), I/Imax
31.3, 100.0
33.0, 69.1
26.5, 56.8
53.1, 36.0
40.5, 31.7
35.5, 29.1

***

Record 3
The following is a computed XRD peak list of Th3Sb2Os. It was derived from a cell relaxed with GGA-PBE, using a wavelength of 1.5418 Å.

Structure:
a b c (Å): 4.2422 6.3119 13.4915
angles (deg): 90.00 90.00 90.00
Space group Immm (No. 71)
Symmetry-distinct sites (fractional):
Th  0.0000  0.0000  0.0000 [2 per cell]
Th  0.0000  0.0000  0.3619 [4 per cell]
Sb  0.0000  0.5000  0.3211 [4 per cell]
Os  0.0000  0.5000  0.0000 [2 per cell]

Most intense lines, 10 to 80 degrees two-theta, in order of falling intensity:
Position (°2θ), I/Imax
28.9, 100.0
40.9, 79.8
28.3, 60.4
51.9, 23.0
42.6, 20.3
66.6, 19.3

***

Record 4
The following is a computed XRD peak list of SiTcAuC. It was derived from a cell relaxed with GGA-PBE, using a wavelength of 1.5418 Å.

Structure:
a b c (Å): 2.8397 2.9354 6.4564
angles (deg): 90.00 90.00 90.00
Space group Pmm2 (No. 25)
Symmetry-distinct sites (fractional):
Si  0.0000  0.0000  0.0000 [1 per cell]
Tc  0.0000  0.5000  0.3232 [1 per cell]
Au  0.5000  0.0000  0.6729 [1 per cell]
C  0.5000  0.0000  0.2080 [1 per cell]

Most intense lines, 10 to 80 degrees two-theta, in order of falling intensity:
Position (°2θ), I/Imax
34.5, 100.0
33.5, 99.9
13.7, 92.6
42.4, 55.8
44.4, 55.4
41.6, 53.2

***

Please write out number 3 again, unchanged.
The following is a computed XRD peak list of Th3Sb2Os. It was derived from a cell relaxed with GGA-PBE, using a wavelength of 1.5418 Å.

Structure:
a b c (Å): 4.2422 6.3119 13.4915
angles (deg): 90.00 90.00 90.00
Space group Immm (No. 71)
Symmetry-distinct sites (fractional):
Th  0.0000  0.0000  0.0000 [2 per cell]
Th  0.0000  0.0000  0.3619 [4 per cell]
Sb  0.0000  0.5000  0.3211 [4 per cell]
Os  0.0000  0.5000  0.0000 [2 per cell]

Most intense lines, 10 to 80 degrees two-theta, in order of falling intensity:
Position (°2θ), I/Imax
28.9, 100.0
40.9, 79.8
28.3, 60.4
51.9, 23.0
42.6, 20.3
66.6, 19.3

***

Q: Which formula does entry 3 have?
A: Th3Sb2Os